[1]
Diffraction record for Pm3Pb5. The X-ray powder pattern is computed, not measured: it uses the GGA-PBE geometry in Alexandria and CuKα.
Lines closer than 0.1° are merged.

Peak list (12 most intense, 10° ≤ 2θ ≤ 90°, sorted by position)
2θ (°)  d [Å]  Rel. int.
31.54  2.837  100
34.14  2.626  19
37.54  2.396  17
37.95  2.371  15
51.64  1.770  12
51.96  1.760  11
54.45  1.685  11
59.50  1.554  14
64.01  1.455  14
64.58  1.443  12
65.85  1.418  11
84.64  1.145  5

Atomic structure:
```
Pm3Pb5
1.0
4.7414 -5.2525 0.0000
4.7414 5.2525 0.0000
0.0000 0.0000 4.7919
Pm Pb
3 5
Cartesian
0.0000 0.0000 0.0000
4.7414 2.3080 2.3960
4.7414 -2.3080 2.3960
2.3707 2.6263 0.0000
2.1858 0.0000 2.3960
2.3707 -2.6263 0.0000
4.7414 0.0000 0.0000
7.2971 0.0000 2.3960
```

***

[2]
Diffraction record for TaAlGe2O8. The X-ray powder pattern is computed, not measured: it uses the GGA-PBE geometry in Alexandria and CuKα.
Lines closer than 0.1° are merged.

Peak list (12 most intense, 10° ≤ 2θ ≤ 90°, sorted by position)
2θ (°)  d [Å]  Rel. int.
19.69  4.508  83
27.93  3.195  100
34.43  2.605  19
34.57  2.594  85
39.90  2.259  18
40.08  2.250  15
44.87  2.020  19
53.81  1.704  66
57.71  1.598  17
65.79  1.419  16
69.04  1.360  19
82.82  1.165  14

Atomic structure:
```
TaAlGe2O8
1.0
-3.1950 3.1950 3.1689
3.1950 -3.1950 3.1689
3.1950 3.1950 -3.1689
Ta Al Ge O
1 1 2 8
Cartesian
0.0000 0.0000 0.0000
0.0000 3.1950 1.5845
3.1950 0.0000 1.5845
0.0000 0.0000 3.1689
1.9504 0.0000 0.3719
4.4397 0.0000 0.3719
3.1950 1.9427 -1.2698
3.1950 -1.2447 2.7970
0.0000 1.2524 1.8991
3.1950 1.2447 2.7970
1.9427 3.1950 1.2698
1.2524 0.0000 4.4387
```